(1)
For TiHgI6, a cell relaxed with GGA-PBE gives the simulated XRD peak list in this record (Cu Ka).

Structure:
abc: 7.441 13.267 7.402
angles: 90.00 113.27 90.00
Space group C2/m (No. 12)
Unique sites:
Ti  0.000  0.000  0.000 [2 per cell]
Hg  0.000  0.500  0.500 [2 per cell]
I  0.221  0.000  0.787 [4 per cell]
I  0.236  0.154  0.242 [8 per cell]

Largest 10 diffraction maxima, in order of falling intensity, 10° ≤ 2θ ≤ 90°:
hkl 1 3 1, 2θ = 29.79°, d 2.999, rel. 100
hkl 2 0 -2, 2θ = 28.81°, d 3.099, rel. 48
hkl 1 1 -1, 2θ = 15.78°, d 5.616, rel. 43
hkl 1 3 -1, 2θ = 24.73°, d 3.600, rel. 37
hkl 1 3 -3, 2θ = 42.00°, d 2.151, rel. 36
hkl 0 2 0, 2θ = 13.35°, d 6.634, rel. 35
hkl 3 3 -1, 2θ = 41.82°, d 2.160, rel. 33
hkl 2 0 2, 2θ = 44.38°, d 2.041, rel. 24
hkl 0 6 0, 2θ = 40.81°, d 2.211, rel. 20
hkl 2 6 -2, 2θ = 50.72°, d 1.800, rel. 17

(2)
For MgAl, a cell relaxed with GGA-PBE gives the simulated XRD peak list in this record (Cu Ka).

Structure:
abc: 3.342 4.917 5.562
angles: 113.39 107.46 90.27
Space group P-1 (No. 2)
Unique sites:
Mg  0.116  0.320  0.232 [2 per cell]
Al  0.360  0.167  0.723 [2 per cell]

Largest 10 diffraction maxima, in order of falling intensity, 10° ≤ 2θ ≤ 90°:
hkl 1 1 -2, 2θ = 37.99°, d 2.368, rel. 100
hkl -1 1 1, 2θ = 36.96°, d 2.432, rel. 57
hkl 0 0 2, 2θ = 37.31°, d 2.410, rel. 57
hkl 1 1 0, 2θ = 37.13°, d 2.421, rel. 57
hkl 0 2 -1, 2θ = 36.60°, d 2.455, rel. 42
hkl 2 0 1, 2θ = 68.36°, d 1.372, rel. 22
hkl 2 0 -1, 2θ = 54.96°, d 1.671, rel. 21
hkl 0 2 -2, 2θ = 42.13°, d 2.145, rel. 16
hkl 0 2 1, 2θ = 51.80°, d 1.765, rel. 16
hkl 0 2 0, 2θ = 40.38°, d 2.234, rel. 16

(3)
For Cs8Br2O3, a cell relaxed with GGA-PBE gives the simulated XRD peak list in this record (Cu Ka).

Structure:
abc: 17.334 8.993 7.671
angles: 90.00 107.90 90.00
Space group C2/m (No. 12)
Unique sites:
Cs  0.093  0.000  0.396 [4 per cell]
Cs  0.095  0.218  0.881 [8 per cell]
Cs  0.108  0.500  0.487 [4 per cell]
Br  0.228  0.500  0.165 [4 per cell]
O  0.000  0.000  0.000 [2 per cell]
O  0.000  0.262  0.500 [4 per cell]

Largest 10 diffraction maxima, in order of falling intensity, 10° ≤ 2θ ≤ 90°:
hkl 4 0 -2, 2θ = 27.21°, d 3.277, rel. 100
hkl 4 2 -1, 2θ = 29.16°, d 3.063, rel. 81
hkl 0 2 1, 2θ = 23.23°, d 3.828, rel. 62
hkl 2 0 2, 2θ = 29.65°, d 3.013, rel. 32
hkl 4 0 0, 2θ = 21.55°, d 4.124, rel. 30
hkl 2 2 -3, 2θ = 40.59°, d 2.222, rel. 28
hkl 6 0 0, 2θ = 32.57°, d 2.749, rel. 24
hkl 2 0 0, 2θ = 10.73°, d 8.248, rel. 23
hkl 4 2 1, 2θ = 34.46°, d 2.603, rel. 23
hkl 1 1 -2, 2θ = 25.33°, d 3.516, rel. 20

(4)
For NpSi2Tc2Os, a cell relaxed with GGA-PBE gives the simulated XRD peak list in this record (Cu Ka).

Structure:
abc: 4.119 7.617 5.949
angles: 90.00 90.00 90.00
Space group Pmc2_1 (No. 26)
Unique sites:
Np  0.000  0.066  0.000 [2 per cell]
Si  0.000  0.403  0.800 [2 per cell]
Si  0.500  0.161  0.302 [2 per cell]
Tc  0.000  0.303  0.415 [2 per cell]
Tc  0.500  0.445  0.078 [2 per cell]
Os  0.500  0.196  0.720 [2 per cell]

Largest 10 diffraction maxima, in order of falling intensity, 10° ≤ 2θ ≤ 90°:
hkl 1 2 1, 2θ = 35.47°, d 2.531, rel. 100
hkl 1 1 2, 2θ = 39.19°, d 2.299, rel. 92
hkl 1 0 2, 2θ = 37.29°, d 2.411, rel. 90
hkl 2 0 0, 2θ = 43.96°, d 2.060, rel. 60
hkl 0 1 0, 2θ = 11.62°, d 7.617, rel. 56
hkl 0 3 1, 2θ = 38.55°, d 2.335, rel. 55
hkl 1 3 0, 2θ = 41.79°, d 2.161, rel. 50
hkl 1 1 1, 2θ = 28.85°, d 3.094, rel. 46
hkl 0 2 2, 2θ = 38.40°, d 2.344, rel. 37
hkl 1 1 0, 2θ = 24.57°, d 3.623, rel. 36

(5)
For ThCu9Pd2, a cell relaxed with GGA-PBE gives the simulated XRD peak list in this record (Cu Ka).

Structure:
abc: 5.0133 5.0133 23.5953
angles: 90.00 90.00 120.00
Space group R-3m (No. 166, hexagonal axes)
Unique sites:
Th  0.0000  0.0000  0.0000 [3 per cell]
Cu  0.0000  0.0000  0.3341 [6 per cell]
Cu  0.0000  0.0000  0.5000 [3 per cell]
Cu  0.0062  0.5031  0.9131 [18 per cell]
Pd  0.0000  0.0000  0.1441 [6 per cell]

Largest 10 diffraction maxima, in order of falling intensity, 10° ≤ 2θ ≤ 90°:
hkl 1 1 6, 2θ = 42.78°, d 2.114, rel. 100
hkl 1 1 0, 2θ = 35.82°, d 2.507, rel. 42
hkl 0 2 1, 2θ = 41.79°, d 2.162, rel. 35
hkl 1 0 7, 2θ = 33.66°, d 2.663, rel. 30
hkl 0 1 8, 2θ = 36.84°, d 2.440, rel. 25
hkl 0 3 6, 2θ = 69.17°, d 1.358, rel. 23
hkl 2 2 0, 2θ = 75.92°, d 1.253, rel. 19
hkl 0 0 12, 2θ = 46.17°, d 1.966, rel. 17
hkl 2 0 14, 2θ = 70.73°, d 1.332, rel. 15
hkl 2 0 2, 2θ = 42.33°, d 2.135, rel. 14

(6)
For NaCdCu, a cell relaxed with GGA-PBE gives the simulated XRD peak list in this record (Cu Ka).

Structure:
abc: 7.0415 7.0415 14.3023
angles: 90.00 90.00 120.00
Space group R3 (No. 146, hexagonal axes)
Unique sites:
Na  0.0766  0.7289  0.0000 [9 per cell]
Cd  0.0760  0.4015  0.4878 [9 per cell]
Cu  0.0000  0.0000  0.1628 [3 per cell]
Cu  0.0000  0.0000  0.5157 [3 per cell]
Cu  0.0000  0.0000  0.6824 [3 per cell]

Largest 10 diffraction maxima, in order of falling intensity, 10° ≤ 2θ ≤ 90°:
hkl 1 1 3, 2θ = 31.59°, d 2.832, rel. 100
hkl 0 0 3, 2θ = 18.61°, d 4.767, rel. 81
hkl 3 -1 1, 2θ = 39.61°, d 2.276, rel. 44
hkl 3 -2 2, 2θ = 41.15°, d 2.194, rel. 43
hkl 1 1 0, 2θ = 25.30°, d 3.521, rel. 40
hkl 2 0 2, 2θ = 31.91°, d 2.805, rel. 40
hkl 0 0 6, 2θ = 37.74°, d 2.384, rel. 38
hkl 3 0 0, 2θ = 44.58°, d 2.033, rel. 35
hkl 3 -1 4, 2θ = 46.90°, d 1.937, rel. 30
hkl 1 2 5, 2θ = 50.88°, d 1.795, rel. 26

(7)
For NpMnBr5, a cell relaxed with GGA-PBE gives the simulated XRD peak list in this record (Cu Ka).

Structure:
abc: 11.226 10.521 10.769
angles: 90.00 119.26 90.00
Space group C2/c (No. 15)
Unique sites:
Np  0.250  0.250  0.000 [4 per cell]
Mn  0.000  0.133  0.250 [4 per cell]
Br  0.000  0.324  0.750 [4 per cell]
Br  0.116  0.290  0.167 [8 per cell]
Br  0.172  0.015  0.465 [8 per cell]

Largest 10 diffraction maxima, in order of falling intensity, 10° ≤ 2θ ≤ 90°:
hkl 1 1 1, 2θ = 18.06°, d 4.913, rel. 100
hkl 1 1 -1, 2θ = 12.57°, d 7.042, rel. 63
hkl 2 0 -2, 2θ = 18.72°, d 4.739, rel. 51
hkl 3 1 -3, 2θ = 29.52°, d 3.026, rel. 34
hkl 0 2 0, 2θ = 16.85°, d 5.261, rel. 32
hkl 3 3 -3, 2θ = 38.34°, d 2.348, rel. 28
hkl 2 0 2, 2θ = 32.21°, d 2.779, rel. 28
hkl 1 3 1, 2θ = 30.13°, d 2.966, rel. 25
hkl 1 3 -1, 2θ = 27.11°, d 3.289, rel. 24
hkl 0 4 2, 2θ = 39.24°, d 2.296, rel. 23